This entry pairs a crystal structure of LiPm3Se4 with its calculated XRD peak list. Radiation: Cu Kα (λ = 1.5418 Å). Structure: a GGA-PBE-relaxed structure.
Kinematic intensities with the Lorentz-polarization factor, no thermal factor.

Top 10 peaks for 10 to 80 degrees two-theta, low angle first:
- 2θ 13.1, d 6.783, I = 13
- 2θ 15.1, d 5.869, I = 6
- 2θ 21.4, d 4.154, I = 5
- 2θ 25.2, d 3.541, I = 12
- 2θ 30.4, d 2.936, I = 100
- 2θ 33.2, d 2.695, I = 8
- 2θ 43.6, d 2.076, I = 74
- 2θ 54.1, d 1.695, I = 26
- 2θ 63.4, d 1.468, I = 12
- 2θ 71.9, d 1.313, I = 33

Atomic structure:
Lattice parameters (Å, degrees): 8.311 11.738 4.152 90.00 90.00 90.00
Space group Cmmm (No. 65)
Unique sites:
Li1 0.000 0.000 0.000
Pm1 0.000 0.500 0.000
Pm2 0.250 0.250 0.500
Se1 0.000 0.244 0.000
Se2 0.241 0.000 0.500

This entry pairs a crystal structure of SrLiPrSe3 with its calculated XRD peak list. Radiation: Cu Kα (λ = 1.5418 Å). Structure: a GGA-PBE-relaxed structure.
Kinematic intensities with the Lorentz-polarization factor, no thermal factor.

Top 10 peaks for 10 to 80 degrees two-theta, low angle first:
- 2θ 20.5, d 4.325, I = 77
- 2θ 27.2, d 3.277, I = 70
- 2θ 28.8, d 3.101, I = 100
- 2θ 29.9, d 2.989, I = 94
- 2θ 33.0, d 2.714, I = 77
- 2θ 34.6, d 2.595, I = 35
- 2θ 39.0, d 2.309, I = 52
- 2θ 42.5, d 2.129, I = 55
- 2θ 42.7, d 2.120, I = 49
- 2θ 43.1, d 2.099, I = 36

Atomic structure:
Lattice parameters (Å, degrees): 11.225 4.258 13.577 90.00 90.00 90.00
Space group Pnma (No. 62)
Unique sites:
Sr1 0.207 0.250 0.000
Li1 0.230 0.750 0.229
Pr1 0.020 0.750 0.731
Se1 0.046 0.750 0.121
Se2 0.108 0.250 0.601
Se3 0.238 0.250 0.332

This entry pairs a crystal structure of SrLi3Pr2Sn3 with its calculated XRD peak list. Radiation: Cu Kα (λ = 1.5418 Å). Structure: a GGA-PBE-relaxed structure.
Kinematic intensities with the Lorentz-polarization factor, no thermal factor.

Top 10 peaks for 10 to 80 degrees two-theta, low angle first:
- 2θ 21.1, d 4.217, I = 19
- 2θ 22.4, d 3.967, I = 23
- 2θ 26.0, d 3.422, I = 32
- 2θ 31.2, d 2.865, I = 100
- 2θ 36.9, d 2.434, I = 59
- 2θ 44.2, d 2.048, I = 12
- 2θ 49.1, d 1.855, I = 28
- 2θ 60.8, d 1.523, I = 21
- 2θ 63.0, d 1.476, I = 27
- 2θ 66.5, d 1.406, I = 11

Atomic structure:
Lattice parameters (Å, degrees): 4.8689 4.8689 11.7131 90.00 90.00 120.00
Space group P-6m2 (No. 187)
Unique sites:
Sr1 0.0000 0.0000 0.0000
Li1 0.3333 0.6667 0.1930
Li2 0.6667 0.3333 0.5000
Pr1 0.0000 0.0000 0.3350
Sn1 0.3333 0.6667 0.5000
Sn2 0.6667 0.3333 0.1906

This entry pairs a crystal structure of Li3Tb2PrSn3 with its calculated XRD peak list. Radiation: Cu Kα (λ = 1.5418 Å). Structure: a GGA-PBE-relaxed structure.
Kinematic intensities with the Lorentz-polarization factor, no thermal factor.

Top 10 peaks for 10 to 80 degrees two-theta, low angle first:
- 2θ 21.7, d 4.092, I = 27
- 2θ 23.1, d 3.844, I = 19
- 2θ 27.0, d 3.305, I = 20
- 2θ 32.4, d 2.759, I = 100
- 2θ 38.1, d 2.363, I = 55
- 2θ 48.7, d 1.868, I = 8
- 2θ 50.9, d 1.795, I = 29
- 2θ 63.5, d 1.465, I = 22
- 2θ 65.3, d 1.429, I = 27
- 2θ 68.8, d 1.364, I = 10

Atomic structure:
Lattice parameters (Å, degrees): 4.7251 4.7251 11.2086 90.00 90.00 120.00
Space group P-6m2 (No. 187)
Unique sites:
Li1 0.0000 0.0000 0.0000
Li2 0.6667 0.3333 0.3037
Tb1 0.3333 0.6667 0.1609
Pr1 0.3333 0.6667 0.5000
Sn1 0.0000 0.0000 0.3189
Sn2 0.6667 0.3333 0.0000

This entry pairs a crystal structure of Li2ZnPtS4 with its calculated XRD peak list. Radiation: Cu Kα (λ = 1.5418 Å). Structure: a GGA-PBE-relaxed structure.
Kinematic intensities with the Lorentz-polarization factor, no thermal factor.

Top 10 peaks for 10 to 80 degrees two-theta, low angle first:
- 2θ 17.8, d 4.997, I = 96
- 2θ 18.3, d 4.846, I = 100
- 2θ 21.3, d 4.172, I = 29
- 2θ 24.8, d 3.584, I = 21
- 2θ 29.3, d 3.045, I = 37
- 2θ 29.6, d 3.017, I = 35
- 2θ 31.0, d 2.887, I = 42
- 2θ 35.9, d 2.499, I = 34
- 2θ 40.5, d 2.228, I = 26
- 2θ 49.7, d 1.833, I = 22

Atomic structure:
Lattice parameters (Å, degrees): 5.774 6.034 10.606 90.00 122.84 90.00
Space group Pc (No. 7)
Unique sites:
Li1 0.000 0.130 0.000
Li2 0.750 0.310 0.238
Zn1 0.280 0.337 0.751
Pt1 0.496 0.198 0.501
S1 0.192 0.282 0.251
S2 0.394 0.169 0.978
S3 0.679 0.282 0.749
S4 0.897 0.254 0.509

This entry pairs a crystal structure of LiSc2Pt with its calculated XRD peak list. Radiation: Cu Kα (λ = 1.5418 Å). Structure: a GGA-PBE-relaxed structure.
Kinematic intensities with the Lorentz-polarization factor, no thermal factor.

Top 10 peaks for 10 to 80 degrees two-theta, low angle first:
- 2θ 19.4, d 4.578, I = 100
- 2θ 27.6, d 3.237, I = 14
- 2θ 32.5, d 2.753, I = 56
- 2θ 38.1, d 2.359, I = 86
- 2θ 39.4, d 2.289, I = 40
- 2θ 44.2, d 2.047, I = 25
- 2θ 52.0, d 1.760, I = 31
- 2θ 56.9, d 1.619, I = 13
- 2θ 68.1, d 1.376, I = 15
- 2θ 70.6, d 1.335, I = 27

Atomic structure:
Lattice parameters (Å, degrees): 6.475 6.890 6.475 90.00 90.00 90.00
Space group Imma (No. 74)
Unique sites:
Li1 0.000 0.250 0.001
Sc1 0.250 0.000 0.250
Pt1 0.000 0.250 0.500

This entry pairs a crystal structure of Li2Si3Pt4 with its calculated XRD peak list. Radiation: Cu Kα (λ = 1.5418 Å). Structure: a GGA-PBE-relaxed structure.
Kinematic intensities with the Lorentz-polarization factor, no thermal factor.

Top 10 peaks for 10 to 80 degrees two-theta, low angle first:
- 2θ 17.9, d 4.969, I = 58
- 2θ 21.2, d 4.186, I = 53
- 2θ 27.9, d 3.193, I = 90
- 2θ 28.3, d 3.154, I = 65
- 2θ 28.5, d 3.131, I = 74
- 2θ 34.5, d 2.597, I = 43
- 2θ 36.9, d 2.438, I = 49
- 2θ 38.2, d 2.357, I = 42
- 2θ 41.1, d 2.194, I = 100
- 2θ 46.7, d 1.944, I = 45

Atomic structure:
Lattice parameters (Å, degrees): 5.595 13.969 7.070 90.00 90.00 90.00
Space group Cmce (No. 64)
Unique sites:
Li1 0.000 0.099 0.090
Si1 0.000 0.000 0.500
Si2 0.250 0.235 0.750
Pt1 0.000 0.180 0.467
Pt2 0.250 0.063 0.750

This entry pairs a crystal structure of LiSiPt2 with its calculated XRD peak list. Radiation: Cu Kα (λ = 1.5418 Å). Structure: a GGA-PBE-relaxed structure.
Kinematic intensities with the Lorentz-polarization factor, no thermal factor.

Top 10 peaks for 10 to 80 degrees two-theta, low angle first:
- 2θ 23.6, d 3.775, I = 81
- 2θ 23.9, d 3.718, I = 24
- 2θ 26.5, d 3.366, I = 49
- 2θ 33.8, d 2.649, I = 13
- 2θ 41.4, d 2.180, I = 81
- 2θ 43.7, d 2.072, I = 100
- 2θ 48.4, d 1.880, I = 23
- 2θ 61.8, d 1.502, I = 36
- 2θ 75.6, d 1.258, I = 14
- 2θ 77.1, d 1.237, I = 38

Atomic structure:
Lattice parameters (Å, degrees): 4.3594 4.3594 7.4368 90.00 90.00 120.00
Space group P6_3/mmc (No. 194)
Unique sites:
Li1 0.0000 0.0000 0.0000
Si1 0.3333 0.6667 0.2500
Pt1 0.3333 0.6667 0.5764